# 1
# Er5ThMg4
Theoretical X-ray powder pattern, Cu Kα X-rays. Input: the GGA-PBE geometry in Alexandria.

Principal peaks in the range 2θ = 10–90°, low angle first:
| d_spacing | Rel. int. |
| --- | --- |
| 4.069 | 12 |
| 3.685 | 23 |
| 3.626 | 9 |
| 2.984 | 14 |
| 2.731 | 100 |
| 2.606 | 49 |
| 2.194 | 9 |
| 1.842 | 18 |
| 1.603 | 17 |
| 1.527 | 35 |

Atomic structure:
```
data_Er5ThMg4
_space_group_name_H-M_alt 'P 1'
_space_group_IT_number 1
_cell_length_a 3.685
_cell_length_b 3.685
_cell_length_c 20.347
_cell_angle_alpha 90.00
_cell_angle_beta 90.00
_cell_angle_gamma 90.00
loop_
_space_group_symop_operation_xyz
'x,y,z'
loop_
_atom_site_label
_atom_site_fract_x
_atom_site_fract_y
_atom_site_fract_z
Er1 0.000 0.000 0.000
Er2 0.000 0.000 0.188
Er3 0.000 0.000 0.386
Er4 0.000 0.000 0.614
Er5 0.000 0.000 0.812
Th1 0.500 0.500 0.500
Mg1 0.500 0.500 0.095
Mg2 0.500 0.500 0.286
Mg3 0.500 0.500 0.714
Mg4 0.500 0.500 0.905
```



# 2
# Er4MgTl3
Theoretical X-ray powder pattern, Cu Kα X-rays. Input: the GGA-PBE geometry in Alexandria.

Principal peaks in the range 2θ = 10–90°, low angle first:
| d_spacing | Rel. int. |
| --- | --- |
| 2.667 | 51 |
| 2.651 | 100 |
| 1.886 | 19 |
| 1.863 | 9 |
| 1.537 | 39 |
| 1.527 | 19 |
| 1.325 | 12 |
| 1.193 | 9 |
| 1.191 | 8 |
| 1.180 | 8 |

Atomic structure:
```
data_Er4MgTl3
_space_group_name_H-M_alt 'P 1'
_space_group_IT_number 1
_cell_length_a 15.823
_cell_length_b 5.335
_cell_length_c 5.335
_cell_angle_alpha 90.00
_cell_angle_beta 109.65
_cell_angle_gamma 90.00
loop_
_space_group_symop_operation_xyz
'x,y,z'
loop_
_atom_site_label
_atom_site_fract_x
_atom_site_fract_y
_atom_site_fract_z
Er1 0.125 0.000 0.125
Er2 0.125 0.500 0.625
Er3 0.375 0.000 0.375
Er4 0.375 0.500 0.875
Er5 0.625 0.000 0.625
Er6 0.625 0.500 0.125
Er7 0.875 0.000 0.875
Er8 0.875 0.500 0.375
Mg1 0.000 0.000 0.500
Mg2 0.500 0.500 0.500
Tl1 0.000 0.500 0.000
Tl2 0.245 0.000 0.745
Tl3 0.255 0.500 0.255
Tl4 0.500 0.000 0.000
Tl5 0.745 0.500 0.745
Tl6 0.755 0.000 0.255
```



# 3
# ErMg14Tl
Theoretical X-ray powder pattern, Cu Kα X-rays. Input: the GGA-PBE geometry in Alexandria.

Principal peaks in the range 2θ = 10–90°, low angle first:
| d_spacing | Rel. int. |
| --- | --- |
| 8.646 | 69 |
| 4.703 | 39 |
| 4.132 | 58 |
| 3.183 | 30 |
| 3.104 | 30 |
| 2.636 | 100 |
| 2.352 | 36 |
| 2.044 | 18 |
| 1.591 | 21 |
| 1.406 | 28 |

Atomic structure:
```
data_ErMg14Tl
_space_group_name_H-M_alt 'P 1'
_space_group_IT_number 1
_cell_length_a 6.652
_cell_length_b 6.652
_cell_length_c 8.646
_cell_angle_alpha 90.00
_cell_angle_beta 90.00
_cell_angle_gamma 90.00
loop_
_space_group_symop_operation_xyz
'x,y,z'
loop_
_atom_site_label
_atom_site_fract_x
_atom_site_fract_y
_atom_site_fract_z
Er1 0.000 0.000 0.000
Mg1 0.000 0.000 0.500
Mg2 0.000 0.500 0.000
Mg3 0.000 0.500 0.500
Mg4 0.250 0.250 0.257
Mg5 0.250 0.250 0.743
Mg6 0.250 0.750 0.257
Mg7 0.250 0.750 0.743
Mg8 0.500 0.000 0.000
Mg9 0.500 0.000 0.500
Mg10 0.500 0.500 0.500
Mg11 0.750 0.250 0.257
Mg12 0.750 0.250 0.743
Mg13 0.750 0.750 0.257
Mg14 0.750 0.750 0.743
Tl1 0.500 0.500 0.000
```



# 4
# Er5MgTl6
Theoretical X-ray powder pattern, Cu Kα X-rays. Input: the GGA-PBE geometry in Alexandria.

Principal peaks in the range 2θ = 10–90°, low angle first:
| d_spacing | Rel. int. |
| --- | --- |
| 2.664 | 100 |
| 2.650 | 24 |
| 2.612 | 24 |
| 1.908 | 10 |
| 1.860 | 17 |
| 1.549 | 10 |
| 1.541 | 10 |
| 1.533 | 18 |
| 1.519 | 9 |
| 1.332 | 12 |

Atomic structure:
```
data_Er5MgTl6
_space_group_name_H-M_alt 'P 1'
_space_group_IT_number 1
_cell_length_a 9.196
_cell_length_b 9.196
_cell_length_c 5.224
_cell_angle_alpha 106.47
_cell_angle_beta 106.47
_cell_angle_gamma 119.66
loop_
_space_group_symop_operation_xyz
'x,y,z'
loop_
_atom_site_label
_atom_site_fract_x
_atom_site_fract_y
_atom_site_fract_z
Er1 0.000 0.000 0.000
Er2 0.170 0.830 0.500
Er3 0.342 0.658 0.000
Er4 0.658 0.342 0.000
Er5 0.830 0.170 0.500
Mg1 0.500 0.500 0.500
Tl1 0.085 0.416 0.250
Tl2 0.248 0.248 0.748
Tl3 0.416 0.085 0.250
Tl4 0.584 0.915 0.750
Tl5 0.752 0.752 0.252
Tl6 0.915 0.584 0.750
```



Repeat the fourth record exactly.
# Er5MgTl6
Theoretical X-ray powder pattern, Cu Kα X-rays. Input: the GGA-PBE geometry in Alexandria.

Principal peaks in the range 2θ = 10–90°, low angle first:
| d_spacing | Rel. int. |
| --- | --- |
| 2.664 | 100 |
| 2.650 | 24 |
| 2.612 | 24 |
| 1.908 | 10 |
| 1.860 | 17 |
| 1.549 | 10 |
| 1.541 | 10 |
| 1.533 | 18 |
| 1.519 | 9 |
| 1.332 | 12 |

Atomic structure:
```
data_Er5MgTl6
_space_group_name_H-M_alt 'P 1'
_space_group_IT_number 1
_cell_length_a 9.196
_cell_length_b 9.196
_cell_length_c 5.224
_cell_angle_alpha 106.47
_cell_angle_beta 106.47
_cell_angle_gamma 119.66
loop_
_space_group_symop_operation_xyz
'x,y,z'
loop_
_atom_site_label
_atom_site_fract_x
_atom_site_fract_y
_atom_site_fract_z
Er1 0.000 0.000 0.000
Er2 0.170 0.830 0.500
Er3 0.342 0.658 0.000
Er4 0.658 0.342 0.000
Er5 0.830 0.170 0.500
Mg1 0.500 0.500 0.500
Tl1 0.085 0.416 0.250
Tl2 0.248 0.248 0.748
Tl3 0.416 0.085 0.250
Tl4 0.584 0.915 0.750
Tl5 0.752 0.752 0.252
Tl6 0.915 0.584 0.750
```